The following is a simulated X-ray diffraction stick pattern of Nd3Si2ClO8. It was derived from a GGA-PBE-relaxed structure, using Cu Kα (λ = 1.5418 Å).
No peak broadening, texture or thermal motion is included.

The 10 most intense peaks (2θ = 10–90°), sorted by position:
- d = 4.614 Å, intensity 595
- d = 4.415 Å, intensity 995
- d = 3.586 Å, intensity 456
- d = 3.339 Å, intensity 453
- d = 3.057 Å, intensity 1000
- d = 2.879 Å, intensity 701
- d = 2.632 Å, intensity 723
- d = 2.009 Å, intensity 627
- d = 1.949 Å, intensity 495
- d = 1.826 Å, intensity 695

Atomic structure:
Lattice parameters (Å, degrees): 7.171 18.343 6.382 90.00 90.00 90.00
Space group Pnma (No. 62)
Symmetry-distinct sites (fractional):
Nd (0.025, 0.091, 0.126)
Nd (0.191, 0.750, 0.383)
Si (0.035, 0.100, 0.620)
Cl (0.056, 0.250, 0.236)
O (0.019, 0.031, 0.783)
O (0.049, 0.174, 0.773)
O (0.150, 0.619, 0.529)
O (0.204, 0.095, 0.450)


The following is a simulated X-ray diffraction stick pattern of Nd3Si2ClO8. It was derived from a GGA-PBE-relaxed structure, using Cu Kα (λ = 1.5418 Å).
No peak broadening, texture or thermal motion is included.

The 10 most intense peaks (2θ = 10–90°), sorted by position:
- d = 4.367 Å, intensity 702
- d = 3.809 Å, intensity 845
- d = 3.500 Å, intensity 551
- d = 3.353 Å, intensity 579
- d = 3.028 Å, intensity 1000
- d = 2.963 Å, intensity 706
- d = 2.720 Å, intensity 556
- d = 2.359 Å, intensity 901
- d = 2.087 Å, intensity 551
- d = 1.939 Å, intensity 462

Atomic structure:
Lattice parameters (Å, degrees): 14.299 6.457 8.824 90.00 98.19 90.00
Space group C2/c (No. 15)
Symmetry-distinct sites (fractional):
Nd (0.000, 0.075, 0.250)
Nd (0.185, 0.395, 0.671)
Si (0.158, 0.054, 0.025)
Cl (0.000, 0.475, 0.750)
O (0.077, 0.128, 0.531)
O (0.143, 0.239, 0.145)
O (0.155, 0.114, 0.844)
O (0.238, 0.443, 0.418)


The following is a simulated X-ray diffraction stick pattern of Nd2Ta2Cl2O7. It was derived from a GGA-PBE-relaxed structure, using Cu Kα (λ = 1.5418 Å).
No peak broadening, texture or thermal motion is included.

The 10 most intense peaks (2θ = 10–90°), sorted by position:
- d = 6.361 Å, intensity 516
- d = 3.835 Å, intensity 423
- d = 3.811 Å, intensity 323
- d = 3.124 Å, intensity 403
- d = 3.065 Å, intensity 655
- d = 3.038 Å, intensity 1000
- d = 2.679 Å, intensity 320
- d = 2.583 Å, intensity 606
- d = 1.977 Å, intensity 347
- d = 1.890 Å, intensity 279

Atomic structure:
Lattice parameters (Å, degrees): 15.561 3.955 6.953 90.00 113.81 90.00
Space group C2/m (No. 12)
Symmetry-distinct sites (fractional):
Nd (0.193, 0.000, 0.164)
Ta (0.035, 0.500, 0.799)
Cl (0.179, 0.000, 0.566)
O (0.000, 0.500, 0.500)
O (0.046, 0.000, 0.837)
O (0.081, 0.500, 0.153)
O (0.175, 0.500, 0.931)


The following is a simulated X-ray diffraction stick pattern of Rb3NdCl6. It was derived from a GGA-PBE-relaxed structure, using Cu Kα (λ = 1.5418 Å).
No peak broadening, texture or thermal motion is included.

The 10 most intense peaks (2θ = 10–90°), sorted by position:
- d = 5.853 Å, intensity 193
- d = 4.138 Å, intensity 1000
- d = 2.926 Å, intensity 715
- d = 2.389 Å, intensity 465
- d = 2.069 Å, intensity 491
- d = 1.851 Å, intensity 241
- d = 1.690 Å, intensity 164
- d = 1.564 Å, intensity 272
- d = 1.309 Å, intensity 199
- d = 1.148 Å, intensity 150

Atomic structure:
Lattice parameters (Å, degrees): 11.705 11.705 11.705 90.00 90.00 90.00
Space group Fm-3m (No. 225)
Symmetry-distinct sites (fractional):
Rb (0.000, 0.000, 0.000)
Rb (0.250, 0.250, 0.250)
Nd (0.000, 0.000, 0.500)
Cl (0.000, 0.000, 0.267)


The following is a simulated X-ray diffraction stick pattern of Nd7S6Cl9. It was derived from a GGA-PBE-relaxed structure, using Cu Kα (λ = 1.5418 Å).
No peak broadening, texture or thermal motion is included.

The 10 most intense peaks (2θ = 10–90°), sorted by position:
- d = 3.996 Å, intensity 1000
- d = 3.975 Å, intensity 907
- d = 3.509 Å, intensity 202
- d = 3.478 Å, intensity 247
- d = 2.785 Å, intensity 428
- d = 2.480 Å, intensity 262
- d = 2.461 Å, intensity 220
- d = 2.431 Å, intensity 301
- d = 2.421 Å, intensity 409
- d = 2.098 Å, intensity 204

Atomic structure:
Lattice parameters (Å, degrees): 24.575 6.743 7.018 90.00 97.76 90.00
Space group P2/c (No. 13)
Symmetry-distinct sites (fractional):
Nd (0.000, 0.211, 0.250)
Nd (0.143, 0.196, 0.876)
Nd (0.284, 0.195, 0.363)
Nd (0.421, 0.217, 0.007)
S (0.071, 0.035, 0.574)
S (0.217, 0.052, 0.618)
S (0.359, 0.052, 0.688)
Cl (0.060, 0.456, 0.937)
Cl (0.189, 0.432, 0.232)
Cl (0.319, 0.416, 0.031)
Cl (0.442, 0.395, 0.377)
Cl (0.500, 0.052, 0.750)


The following is a simulated X-ray diffraction stick pattern of NdTeCl. It was derived from a GGA-PBE-relaxed structure, using Cu Kα (λ = 1.5418 Å).
No peak broadening, texture or thermal motion is included.

The 10 most intense peaks (2θ = 10–90°), sorted by position:
- d = 3.168 Å, intensity 1000
- d = 3.034 Å, intensity 682
- d = 2.957 Å, intensity 371
- d = 2.512 Å, intensity 740
- d = 2.343 Å, intensity 735
- d = 2.240 Å, intensity 655
- d = 1.802 Å, intensity 298
- d = 1.619 Å, intensity 468
- d = 1.548 Å, intensity 267
- d = 1.273 Å, intensity 277

Atomic structure:
Lattice parameters (Å, degrees): 4.481 4.481 8.246 90.00 90.00 90.00
Space group P4/nmm (No. 129, origin choice 2)
Symmetry-distinct sites (fractional):
Nd (0.250, 0.250, 0.239)
Te (0.250, 0.250, 0.634)
Cl (0.250, 0.750, 0.000)


The following is a simulated X-ray diffraction stick pattern of NiCl. It was derived from a GGA-PBE-relaxed structure, using Cu Kα (λ = 1.5418 Å).
No peak broadening, texture or thermal motion is included.

The 10 most intense peaks (2θ = 10–90°), sorted by position:
- d = 3.134 Å, intensity 896
- d = 3.120 Å, intensity 517
- d = 2.801 Å, intensity 1000
- d = 2.211 Å, intensity 283
- d = 1.809 Å, intensity 648
- d = 1.733 Å, intensity 799
- d = 1.566 Å, intensity 448
- d = 1.520 Å, intensity 142
- d = 1.252 Å, intensity 249
- d = 1.160 Å, intensity 133

Atomic structure:
Lattice parameters (Å, degrees): 3.6189 3.6189 6.2406 90.00 90.00 120.00
Space group P6_3mc (No. 186)
Symmetry-distinct sites (fractional):
Ni (0.3333, 0.6667, 0.0000)
Cl (0.3333, 0.6667, 0.6428)


The following is a simulated X-ray diffraction stick pattern of Ni5Cl6. It was derived from a GGA-PBE-relaxed structure, using Cu Kα (λ = 1.5418 Å).
No peak broadening, texture or thermal motion is included.

The 10 most intense peaks (2θ = 10–90°), sorted by position:
- d = 5.074 Å, intensity 128
- d = 3.858 Å, intensity 100
- d = 2.568 Å, intensity 527
- d = 2.464 Å, intensity 1000
- d = 1.781 Å, intensity 315
- d = 1.775 Å, intensity 320
- d = 1.763 Å, intensity 157
- d = 1.722 Å, intensity 152
- d = 1.430 Å, intensity 143
- d = 1.112 Å, intensity 111

Atomic structure:
Lattice parameters (Å, degrees): 6.242 10.333 6.217 90.00 111.05 90.00
Space group C2/m (No. 12)
Symmetry-distinct sites (fractional):
Ni (0.000, 0.000, 0.000)
Ni (0.000, 0.172, 0.500)
Ni (0.000, 0.333, 0.000)
Cl (0.211, 0.174, 0.257)
Cl (0.240, 0.500, 0.216)